NdEuHg2: calculated powder diffraction line list (a wavelength of 1.5418 Å), based on the GGA-PBE geometry in the Materials Project.
Kinematic intensities with the Lorentz-polarization factor, no thermal factor.

Principal peaks in the range 2θ from 5° to 70°, low angle first:
- (2 0 0), 2θ = 22.97°, I 2.5
- (2 2 0), 2θ = 32.71°, I 100.0
- (4 0 0), 2θ = 46.94°, I 18.5
- (4 2 0), 2θ = 52.88°, I 1.3
- (4 2 2), 2θ = 58.39°, I 38.7
- (4 4 0), 2θ = 68.56°, I 12.1

Crystal structure
```
data_NdEuHg2
_space_group_name_H-M_alt 'F m -3 m'
_space_group_IT_number 225
_space_group_name_Hall '-F 4 2 3'
_cell_length_a 7.743
_cell_length_b 7.743
_cell_length_c 7.743
_cell_angle_alpha 90.00
_cell_angle_beta 90.00
_cell_angle_gamma 90.00
loop_
_atom_site_label
_atom_site_fract_x
_atom_site_fract_y
_atom_site_fract_z
_atom_site_occupancy
Nd1 0.000 0.000 0.000 1
Eu1 0.000 0.000 0.500 1
Hg1 0.250 0.250 0.250 1
```